# PaTlPb2Se4
Computed powder X-ray diffraction pattern, CuKα. Input: a crystal structure in Alexandria, relaxed with PBE.
Kinematic intensities with the Lorentz-polarization factor, no thermal factor.

Cell and atoms:
```
data_PaTlPb2Se4
_chemical_formula_sum 'Pa2 Tl2 Pb4 Se8'
_cell_length_a 14.2566
_cell_length_b 6.1307
_cell_length_c 6.1309
_cell_angle_alpha 90.00
_cell_angle_beta 115.38
_cell_angle_gamma 90.00
_symmetry_space_group_name_H-M 'C 1 m 1'
_symmetry_Int_Tables_number 8
loop_
_symmetry_equiv_pos_as_xyz
'x,y,z'
'x,-y,z'
'x+1/2,y+1/2,z'
'x+1/2,-y+1/2,z'
loop_
_atom_site_label
_atom_site_type_symbol
_atom_site_fract_x
_atom_site_fract_y
_atom_site_fract_z
Pa1 Pa 0.0000 0.0000 0.0000
Tl1 Tl 0.2500 0.0000 0.7495
Pb1 Pb 0.0000 0.5000 0.4999
Pb2 Pb 0.2500 0.5000 0.2500
Se1 Se 0.0081 0.5000 0.0079
Se2 Se 0.2178 0.0000 0.2172
Se3 Se 0.2822 0.5000 0.7827
Se4 Se 0.4919 0.5000 0.4918
```

Largest 6 diffraction maxima, in order of rising 2θ, 10 to 90 degrees two-theta:
- hkl 1 1 1, 2θ 24.76, intensity 61.0
- hkl 4 0 0, 2θ 27.70, intensity 51.7
- hkl 0 2 0, 2θ 29.13, intensity 100.0
- hkl 4 2 0, 2θ 40.63, intensity 75.1
- hkl 2 2 -2, 2θ 41.67, intensity 38.4
- hkl 6 2 -2, 2θ 50.77, intensity 39.7